Record 1
# AcNd3Y2Te6
Simulated powder diffraction line list, Cu Kα X-rays. Input: a DFT-relaxed cell (PBE, Alexandria).
Lines closer than 0.1° are merged.

Largest 12 diffraction maxima, low angle first, 2θ from 15° to 90°:
- 2θ 28.1, intensity 100
- 2θ 40.0, intensity 38
- 2θ 40.2, intensity 37
- 2θ 49.6, intensity 13
- 2θ 49.6, intensity 7
- 2θ 49.8, intensity 7
- 2θ 58.0, intensity 12
- 2θ 65.6, intensity 16
- 2θ 65.8, intensity 16
- 2θ 72.8, intensity 9
- 2θ 72.8, intensity 8
- 2θ 73.1, intensity 6

Crystal structure
```
12
Lattice="3.883 -6.758 0.000 3.883 6.758 0.000 -2.608 0.000 7.347" Properties=species:S:1:pos:R:3 pbc="T T T"
Ac 0.000 0.000 0.000
Nd 2.579 4.693 3.674
Nd 2.579 0.000 3.674
Nd 2.579 -4.693 3.674
Y 3.883 2.272 0.000
Y 3.883 -2.272 0.000
Te 1.356 2.373 1.851
Te 0.128 0.000 5.603
Te 1.356 -2.373 1.851
Te 3.802 2.373 5.496
Te 5.030 0.000 1.745
Te 3.802 -2.373 5.496
```



Record 2
# Li2CaSbH
Simulated powder diffraction line list, Cu Kα X-rays. Input: a DFT-relaxed cell (PBE, Alexandria).
Lines closer than 0.1° are merged.

Largest 12 diffraction maxima, low angle first, 2θ from 15° to 90°:
- 2θ 16.0, intensity 51
- 2θ 21.5, intensity 26
- 2θ 23.3, intensity 74
- 2θ 24.5, intensity 100
- 2θ 28.4, intensity 24
- 2θ 32.0, intensity 29
- 2θ 33.6, intensity 87
- 2θ 34.4, intensity 45
- 2θ 41.7, intensity 30
- 2θ 47.3, intensity 22
- 2θ 48.0, intensity 30
- 2θ 54.2, intensity 23

Crystal structure
```
10
Lattice="2.223 -5.556 0.000 2.223 5.556 0.000 0.000 0.000 7.625" Properties=species:S:1:pos:R:3 pbc="T T T"
Li 2.223 3.828 4.259
Li 2.223 3.828 7.178
Li 2.223 -3.828 0.447
Li 2.223 -3.828 3.366
Ca 2.223 0.782 5.719
Ca 2.223 -0.782 1.906
Sb 2.223 2.368 1.906
Sb 2.223 -2.368 5.719
H 0.000 0.000 0.000
H 0.000 0.000 3.812
```



Record 3
# LiMg5InGa2
Simulated powder diffraction line list, Cu Kα X-rays. Input: a DFT-relaxed cell (PBE, Alexandria).
Lines closer than 0.1° are merged.

Largest 12 diffraction maxima, low angle first, 2θ from 15° to 90°:
- 2θ 21.1, intensity 100
- 2θ 25.3, intensity 21
- 2θ 33.0, intensity 41
- 2θ 34.1, intensity 26
- 2θ 35.1, intensity 63
- 2θ 38.3, intensity 37
- 2θ 42.0, intensity 18
- 2θ 42.1, intensity 17
- 2θ 44.4, intensity 21
- 2θ 46.4, intensity 27
- 2θ 50.8, intensity 19
- 2θ 69.8, intensity 17

Crystal structure
```
18
Lattice="-3.716 3.716 7.046 3.716 -3.716 7.046 3.716 3.716 -7.046" Properties=species:S:1:pos:R:3 pbc="T T T"
Li 3.716 0.000 3.523
Li 0.000 3.716 3.523
Mg 0.000 0.000 0.000
Mg 5.246 1.530 -1.820
Mg 1.530 2.186 -1.820
Mg 5.246 1.530 1.820
Mg 1.530 2.186 1.820
Mg 0.000 0.000 7.046
Mg 2.186 1.530 5.225
Mg -1.530 2.186 5.225
Mg 2.186 1.530 8.866
Mg -1.530 2.186 8.866
In 0.000 0.000 3.523
In 0.000 0.000 10.568
Ga 2.874 0.842 0.000
Ga 2.874 -0.842 7.046
Ga 0.842 4.558 0.000
Ga 0.842 2.874 7.046
```



Record 4
# NdHoGa2Pt5
Simulated powder diffraction line list, Cu Kα X-rays. Input: a DFT-relaxed cell (PBE, Alexandria).
Lines closer than 0.1° are merged.

Largest 12 diffraction maxima, low angle first, 2θ from 15° to 90°:
- 2θ 18.9, intensity 5
- 2θ 35.7, intensity 100
- 2θ 38.4, intensity 13
- 2θ 41.9, intensity 12
- 2θ 42.9, intensity 37
- 2θ 58.9, intensity 16
- 2θ 62.2, intensity 12
- 2θ 66.8, intensity 5
- 2θ 67.7, intensity 12
- 2θ 73.8, intensity 24
- 2θ 75.6, intensity 8
- 2θ 77.8, intensity 4

Crystal structure
```
9
Lattice="4.220 0.000 0.000 0.000 4.220 0.000 0.000 0.000 9.372" Properties=species:S:1:pos:R:3 pbc="T T T"
Nd 0.000 0.000 0.000
Ho 0.000 0.000 4.686
Ga 2.110 2.110 3.471
Ga 2.110 2.110 5.902
Pt 0.000 2.110 2.162
Pt 0.000 2.110 7.210
Pt 2.110 0.000 2.162
Pt 2.110 0.000 7.210
Pt 2.110 2.110 0.000
```



Record 5
# Pa2HgI8
Simulated powder diffraction line list, Cu Kα X-rays. Input: a DFT-relaxed cell (PBE, Alexandria).
Lines closer than 0.1° are merged.

Largest 12 diffraction maxima, low angle first, 2θ from 15° to 90°:
- 2θ 15.2, intensity 100
- 2θ 16.9, intensity 85
- 2θ 17.6, intensity 40
- 2θ 22.8, intensity 40
- 2θ 29.1, intensity 23
- 2θ 30.4, intensity 25
- 2θ 30.7, intensity 87
- 2θ 34.2, intensity 48
- 2θ 41.7, intensity 33
- 2θ 42.8, intensity 36
- 2θ 43.7, intensity 32
- 2θ 49.3, intensity 30

Crystal structure
```
11
Lattice="11.647 0.000 0.000 -5.823 10.086 0.000 0.000 0.000 6.144" Properties=species:S:1:pos:R:3 pbc="T T T"
Pa 0.000 6.724 1.603
Pa 5.823 3.362 4.541
Hg 0.000 0.000 0.000
I -0.012 3.818 1.612
I -2.511 8.187 1.612
I 0.000 6.724 4.677
I 3.301 1.919 4.532
I 2.523 8.167 1.612
I 5.823 3.362 1.467
I 8.334 1.899 4.532
I 5.835 6.268 4.532
```



Record 6
# K2Rb2TlBi2
Simulated powder diffraction line list, Cu Kα X-rays. Input: a DFT-relaxed cell (PBE, Alexandria).
Lines closer than 0.1° are merged.

Largest 12 diffraction maxima, low angle first, 2θ from 15° to 90°:
- 2θ 18.1, intensity 20
- 2θ 23.8, intensity 25
- 2θ 26.6, intensity 37
- 2θ 28.1, intensity 20
- 2θ 28.2, intensity 100
- 2θ 30.5, intensity 60
- 2θ 31.2, intensity 27
- 2θ 34.3, intensity 28
- 2θ 36.6, intensity 16
- 2θ 39.0, intensity 17
- 2θ 47.0, intensity 18
- 2θ 59.1, intensity 18

Crystal structure
```
7
Lattice="6.549 -2.618 0.000 6.549 2.618 0.000 -4.458 0.000 9.748" Properties=species:S:1:pos:R:3 pbc="T T T"
K -0.173 0.000 4.080
K 8.812 0.000 5.668
Rb 3.908 0.000 1.578
Rb 4.732 0.000 8.170
Tl 0.000 0.000 0.000
Bi 0.874 0.000 7.704
Bi 7.765 0.000 2.044
```



Record 7
# La3Pm2Pb
Simulated powder diffraction line list, Cu Kα X-rays. Input: a DFT-relaxed cell (PBE, Alexandria).
Lines closer than 0.1° are merged.

Largest 12 diffraction maxima, low angle first, 2θ from 15° to 90°:
- 2θ 30.2, intensity 100
- 2θ 34.0, intensity 18
- 2θ 35.3, intensity 17
- 2θ 35.7, intensity 16
- 2θ 49.8, intensity 12
- 2θ 50.2, intensity 12
- 2θ 51.1, intensity 12
- 2θ 58.6, intensity 15
- 2θ 60.2, intensity 14
- 2θ 60.8, intensity 14
- 2θ 62.8, intensity 12
- 2θ 81.1, intensity 6

Crystal structure
```
6
Lattice="2.512 -7.904 0.000 2.512 7.904 0.000 0.000 0.000 5.086" Properties=species:S:1:pos:R:3 pbc="T T T"
La 0.000 0.000 0.000
La 2.512 2.577 0.000
La 2.512 -2.577 0.000
Pm 2.512 5.316 2.543
Pm 2.512 -5.316 2.543
Pb 2.512 0.000 2.543
```



Record 8
# LiPmSn2Pd
Simulated powder diffraction line list, Cu Kα X-rays. Input: a DFT-relaxed cell (PBE, Alexandria).
Lines closer than 0.1° are merged.

Largest 12 diffraction maxima, low angle first, 2θ from 15° to 90°:
- 2θ 21.7, intensity 28
- 2θ 28.9, intensity 44
- 2θ 30.6, intensity 100
- 2θ 32.7, intensity 64
- 2θ 41.3, intensity 56
- 2θ 42.4, intensity 18
- 2θ 43.7, intensity 49
- 2θ 52.3, intensity 45
- 2θ 59.8, intensity 19
- 2θ 61.7, intensity 36
- 2θ 69.8, intensity 14
- 2θ 78.4, intensity 17

Crystal structure
```
5
Lattice="-2.188 2.188 5.873 2.188 -2.188 5.873 2.188 2.188 -5.873" Properties=species:S:1:pos:R:3 pbc="T T T"
Li 0.000 0.000 0.000
Pm 2.188 0.000 2.937
Sn 0.000 2.188 1.532
Sn 0.000 2.188 4.341
Pd 0.000 0.000 5.873
```



Record 9
# Re2Ru
Simulated powder diffraction line list, Cu Kα X-rays. Input: a DFT-relaxed cell (PBE, Alexandria).
Lines closer than 0.1° are merged.

Largest 12 diffraction maxima, low angle first, 2θ from 15° to 90°:
- 2θ 37.5, intensity 11
- 2θ 37.6, intensity 26
- 2θ 40.9, intensity 39
- 2θ 42.9, intensity 52
- 2θ 43.0, intensity 100
- 2θ 56.8, intensity 19
- 2θ 67.7, intensity 18
- 2θ 76.0, intensity 24
- 2θ 82.2, intensity 10
- 2θ 82.4, intensity 10
- 2θ 82.5, intensity 10
- 2θ 83.8, intensity 15

Crystal structure
```
6
Lattice="5.026 -1.379 0.000 5.026 1.379 0.000 -1.576 0.000 6.315" Properties=species:S:1:pos:R:3 pbc="T T T"
Re -0.191 0.000 1.950
Re 2.070 0.000 6.162
Re 6.405 0.000 0.153
Re 8.666 0.000 4.365
Ru 2.499 0.000 2.297
Ru 5.976 0.000 4.018
```



Record 10
# Ac6Nd7
Simulated powder diffraction line list, Cu Kα X-rays. Input: a DFT-relaxed cell (PBE, Alexandria).
Lines closer than 0.1° are merged.

Largest 12 diffraction maxima, low angle first, 2θ from 15° to 90°:
- 2θ 25.6, intensity 76
- 2θ 28.3, intensity 52
- 2θ 28.9, intensity 28
- 2θ 29.5, intensity 100
- 2θ 29.7, intensity 41
- 2θ 30.4, intensity 44
- 2θ 32.0, intensity 35
- 2θ 34.2, intensity 26
- 2θ 46.8, intensity 27
- 2θ 47.6, intensity 27
- 2θ 51.6, intensity 40
- 2θ 52.6, intensity 43

Crystal structure
```
13
Lattice="3.483 2.011 12.338 -3.483 2.011 12.338 0.000 -4.021 12.338" Properties=species:S:1:pos:R:3 pbc="T T T"
Ac 0.000 0.000 1.884
Ac 0.000 0.000 5.801
Ac 0.000 0.000 12.351
Ac 0.000 0.000 24.662
Ac 0.000 0.000 31.212
Ac 0.000 0.000 35.129
Nd -1.748 -1.009 15.493
Nd 0.000 -2.018 21.520
Nd -1.748 1.009 21.520
Nd 0.000 0.000 18.507
Nd 1.748 -1.009 15.493
Nd 0.000 2.018 15.493
Nd 1.748 1.009 21.520
```



Record 11
# KNdS14
Simulated powder diffraction line list, Cu Kα X-rays. Input: a DFT-relaxed cell (PBE, Alexandria).
Lines closer than 0.1° are merged.

Largest 12 diffraction maxima, low angle first, 2θ from 15° to 90°:
- 2θ 17.1, intensity 25
- 2θ 22.5, intensity 25
- 2θ 24.2, intensity 26
- 2θ 25.6, intensity 63
- 2θ 26.6, intensity 100
- 2θ 26.9, intensity 53
- 2θ 32.7, intensity 26
- 2θ 36.2, intensity 54
- 2θ 36.8, intensity 26
- 2θ 38.7, intensity 32
- 2θ 42.6, intensity 29
- 2θ 51.4, intensity 29

Crystal structure
```
32
Lattice="-4.881 7.363 6.736 4.881 -7.363 6.736 4.881 7.363 -6.736" Properties=species:S:1:pos:R:3 pbc="T T T"
K 0.000 3.682 0.642
K 4.881 3.682 6.094
Nd 2.441 3.682 -3.368
Nd 2.441 -3.682 3.368
S 1.700 1.715 -1.304
S 8.063 1.715 -1.304
S 4.881 -2.033 2.650
S 4.881 6.300 -4.489
S 4.881 5.330 -2.650
S 4.881 -1.063 4.489
S 1.700 5.648 -1.304
S 4.881 2.684 1.410
S 3.181 -1.715 5.433
S 2.622 2.015 2.422
S 7.140 2.015 2.422
S 4.881 4.679 1.410
S 2.622 9.378 -2.422
S 2.259 2.015 4.315
S 2.622 5.348 2.422
S 2.259 -2.015 9.158
S 0.000 2.684 5.326
S -2.259 5.348 4.315
S 2.259 5.348 4.315
S 1.700 9.078 1.304
S 0.000 4.679 5.326
S 3.181 1.715 8.040
S 0.000 8.426 2.247
S 0.000 2.033 9.386
S 0.000 1.063 11.226
S 0.000 9.396 4.087
S -3.181 5.648 8.040
S 3.181 5.648 8.040
```



Record 12
# TiGaSnCl6
Simulated powder diffraction line list, Cu Kα X-rays. Input: a DFT-relaxed cell (PBE, Alexandria).
Lines closer than 0.1° are merged.

Largest 12 diffraction maxima, low angle first, 2θ from 15° to 90°:
- 2θ 20.3, intensity 100
- 2θ 25.7, intensity 19
- 2θ 29.3, intensity 50
- 2θ 33.0, intensity 28
- 2θ 38.4, intensity 75
- 2θ 42.2, intensity 37
- 2θ 45.2, intensity 33
- 2θ 45.5, intensity 12
- 2θ 57.1, intensity 13
- 2θ 59.7, intensity 13
- 2θ 60.8, intensity 17
- 2θ 78.9, intensity 12

Crystal structure
```
9
Lattice="6.944 0.000 0.000 -3.472 6.014 0.000 0.000 0.000 6.346" Properties=species:S:1:pos:R:3 pbc="T T T"
Ti 0.000 0.000 0.000
Ga 0.000 4.009 3.173
Sn 3.472 2.005 0.000
Cl 1.995 0.047 1.417
Cl 1.038 1.705 4.929
Cl 4.949 0.047 4.929
Cl 2.515 4.263 1.417
Cl 5.906 1.705 1.417
Cl 4.429 4.263 4.929
```



Copy entry 11 word for word.
# KNdS14
Simulated powder diffraction line list, Cu Kα X-rays. Input: a DFT-relaxed cell (PBE, Alexandria).
Lines closer than 0.1° are merged.

Largest 12 diffraction maxima, low angle first, 2θ from 15° to 90°:
- 2θ 17.1, intensity 25
- 2θ 22.5, intensity 25
- 2θ 24.2, intensity 26
- 2θ 25.6, intensity 63
- 2θ 26.6, intensity 100
- 2θ 26.9, intensity 53
- 2θ 32.7, intensity 26
- 2θ 36.2, intensity 54
- 2θ 36.8, intensity 26
- 2θ 38.7, intensity 32
- 2θ 42.6, intensity 29
- 2θ 51.4, intensity 29

Crystal structure
```
32
Lattice="-4.881 7.363 6.736 4.881 -7.363 6.736 4.881 7.363 -6.736" Properties=species:S:1:pos:R:3 pbc="T T T"
K 0.000 3.682 0.642
K 4.881 3.682 6.094
Nd 2.441 3.682 -3.368
Nd 2.441 -3.682 3.368
S 1.700 1.715 -1.304
S 8.063 1.715 -1.304
S 4.881 -2.033 2.650
S 4.881 6.300 -4.489
S 4.881 5.330 -2.650
S 4.881 -1.063 4.489
S 1.700 5.648 -1.304
S 4.881 2.684 1.410
S 3.181 -1.715 5.433
S 2.622 2.015 2.422
S 7.140 2.015 2.422
S 4.881 4.679 1.410
S 2.622 9.378 -2.422
S 2.259 2.015 4.315
S 2.622 5.348 2.422
S 2.259 -2.015 9.158
S 0.000 2.684 5.326
S -2.259 5.348 4.315
S 2.259 5.348 4.315
S 1.700 9.078 1.304
S 0.000 4.679 5.326
S 3.181 1.715 8.040
S 0.000 8.426 2.247
S 0.000 2.033 9.386
S 0.000 1.063 11.226
S 0.000 9.396 4.087
S -3.181 5.648 8.040
S 3.181 5.648 8.040
```